Calculated X-ray diffraction stick pattern of NaPaGaBr6 for Cu Kα X-rays, from the PBE geometry in Alexandria.

Peak list (10 most intense, 2θ from 10° to 90°, by angle)
(hkl)  2θ/deg  I_rel
1 0 0  13.42  22
0 0 2  13.57  27
1 0 1  15.05  43
1 0 2  19.13  28
1 1 2  27.11  100
1 1 4  36.26  59
3 0 0  41.04  39
2 -1 6  48.18  21
4 -2 2  49.87  18
3 0 8  72.10  18

Structure:
```
data_NaPaGaBr6
_space_group_name_H-M_alt 'P -3 1 c'
_space_group_IT_number 163
_space_group_name_Hall '-P 3 2c'
_cell_length_a 7.6187
_cell_length_b 7.6187
_cell_length_c 13.0482
_cell_angle_alpha 90.00
_cell_angle_beta 90.00
_cell_angle_gamma 120.00
loop_
_atom_site_label
_atom_site_type_symbol
_atom_site_fract_x
_atom_site_fract_y
_atom_site_fract_z
Na1 Na 0.0000 0.0000 0.0000
Pa1 Pa 0.3333 0.6667 0.2500
Ga1 Ga 0.3333 0.6667 0.7500
Br1 Br 0.0308 0.3602 0.1274
```